Simulated XRD peak list of Rb3OsPb3O8 for Cu Kα, 1.54184 Å, from a GGA-PBE-relaxed structure.

Most intense lines, 2θ from 5° to 70°, in order of falling intensity:
Position (°2θ)	Rel. int.
34.09	100
30.12	93
13.50	80
27.18	43
47.09	36
29.05	31
58.55	22
55.22	22
50.86	21
43.37	16

Crystal structure
a = 7.1813 Å, b = 7.1813 Å, c = 7.7537 Å
α = 117.47°, β = 117.47°, γ = 60.13°
Atoms (fractional coordinates):
Rb 0.0000 0.0000 0.0000
Rb 0.0000 0.5000 0.0000
Rb 0.5000 0.0000 0.0000
Os 0.0000 0.0000 0.5000
Pb 0.0000 0.5000 0.5000
Pb 0.5000 0.0000 0.5000
Pb 0.5000 0.5000 0.5000
O 0.1861 0.1861 0.6645
O 0.1865 0.7912 0.6643
O 0.2088 0.8135 0.3357
O 0.2664 0.2664 0.3021
O 0.7336 0.7336 0.6979
O 0.7912 0.1865 0.6643
O 0.8135 0.2088 0.3357
O 0.8139 0.8139 0.3355


Simulated XRD peak list of ZrBiC2 for Cu Kα, 1.54184 Å, from a GGA-PBE-relaxed structure.

Most intense lines, 2θ from 5° to 70°, in order of falling intensity:
Position (°2θ)	Rel. int.
29.03	100
57.03	30
33.39	30
48.51	27
18.57	18
58.02	14
47.95	14
34.15	14
60.17	12
38.48	7

Crystal structure
a = 5.3665 Å, b = 5.3665 Å, c = 10.5032 Å
α = 90.00°, β = 90.00°, γ = 90.00°
Atoms (fractional coordinates):
Zr 0.0000 0.0000 0.0000
Zr 0.0000 0.5000 0.2500
Zr 0.5000 0.0000 0.7500
Zr 0.5000 0.5000 0.5000
Bi 0.0000 0.0000 0.5000
Bi 0.0000 0.5000 0.7500
Bi 0.5000 0.0000 0.2500
Bi 0.5000 0.5000 0.0000
C 0.2188 0.2500 0.1250
C 0.2500 0.7188 0.3750
C 0.2500 0.7812 0.8750
C 0.2812 0.2500 0.6250
C 0.7188 0.7500 0.6250
C 0.7500 0.2188 0.8750
C 0.7500 0.2812 0.3750
C 0.7812 0.7500 0.1250


Simulated XRD peak list of Zn8Co2Cu3 for Cu Kα, 1.54184 Å, from a GGA-PBE-relaxed structure.

Most intense lines, 2θ from 5° to 70°, in order of falling intensity:
Position (°2θ)	Rel. int.
44.49	100
43.74	28
45.04	24
64.59	15
27.04	11
30.99	10
26.54	8
64.87	7
40.83	7
34.78	5

Crystal structure
a = 7.0186 Å, b = 7.0186 Å, c = 4.1387 Å
α = 90.00°, β = 90.00°, γ = 110.00°
Atoms (fractional coordinates):
Zn 0.1036 0.3642 0.5000
Zn 0.1307 0.8693 0.0000
Zn 0.3614 0.6386 0.0000
Zn 0.3642 0.1036 0.5000
Zn 0.6358 0.8964 0.5000
Zn 0.6386 0.3614 0.0000
Zn 0.8693 0.1307 0.0000
Zn 0.8964 0.6358 0.5000
Co 0.2596 0.7404 0.5000
Co 0.7404 0.2596 0.5000
Cu 0.2586 0.2586 0.0000
Cu 0.5000 0.5000 0.5000
Cu 0.7414 0.7414 0.0000


Simulated XRD peak list of YHo6Th2 for Cu Kα, 1.54184 Å, from a GGA-PBE-relaxed structure.

Most intense lines, 2θ from 5° to 70°, in order of falling intensity:
Position (°2θ)	Rel. int.
33.76	100
30.75	78
32.11	59
61.07	50
28.99	48
51.37	45
57.66	32
42.75	31
35.68	18
62.90	17

Crystal structure
a = 3.5570 Å, b = 3.5570 Å, c = 26.1855 Å
α = 90.00°, β = 90.00°, γ = 120.00°
Atoms (fractional coordinates):
Y 0.0000 0.0000 0.0000
Ho 0.0000 0.0000 0.2167
Ho 0.0000 0.0000 0.4366
Ho 0.0000 0.0000 0.5634
Ho 0.0000 0.0000 0.7833
Ho 0.3333 0.6667 0.1092
Ho 0.3333 0.6667 0.8908
Th 0.3333 0.6667 0.3289
Th 0.3333 0.6667 0.6711


Simulated XRD peak list of MgZnCuPt for Cu Kα, 1.54184 Å, from a GGA-PBE-relaxed structure.

Most intense lines, 2θ from 5° to 70°, in order of falling intensity:
Position (°2θ)	Rel. int.
40.30	100
25.24	44
44.69	37
31.19	21
24.87	18
52.02	13
51.02	13
65.05	12
44.02	11
51.82	10

Crystal structure
a = 4.0554 Å, b = 4.0554 Å, c = 7.1605 Å
α = 90.00°, β = 90.00°, γ = 90.00°
Atoms (fractional coordinates):
Mg 0.0000 0.0000 0.0000
Mg 0.5000 0.5000 0.5000
Zn 0.0000 0.0000 0.5000
Zn 0.5000 0.5000 0.0000
Cu 0.0000 0.5000 0.2500
Cu 0.5000 0.0000 0.7500
Pt 0.0000 0.5000 0.7500
Pt 0.5000 0.0000 0.2500


Simulated XRD peak list of Li2PrS2 for Cu Kα, 1.54184 Å, from a GGA-PBE-relaxed structure.

Most intense lines, 2θ from 5° to 70°, in order of falling intensity:
Position (°2θ)	Rel. int.
28.78	100
12.80	73
36.68	64
25.68	33
45.25	27
47.32	21
47.22	17
54.51	16
59.60	15
61.28	13

Crystal structure
a = 4.0078 Å, b = 4.0078 Å, c = 6.9185 Å
α = 90.00°, β = 90.00°, γ = 120.00°
Atoms (fractional coordinates):
Li 0.3333 0.6667 0.1253
Li 0.6667 0.3333 0.8747
Pr 0.0000 0.0000 0.5000
S 0.3333 0.6667 0.7632
S 0.6667 0.3333 0.2368


Simulated XRD peak list of CrMoIr3 for Cu Kα, 1.54184 Å, from a GGA-PBE-relaxed structure.

Most intense lines, 2θ from 5° to 70°, in order of falling intensity:
Position (°2θ)	Rel. int.
41.41	100
41.56	76
39.27	51
39.17	46
46.68	42
25.45	34
26.50	30
68.68	28
52.21	23
47.26	20

Crystal structure
a = 12.1500 Å, b = 4.9695 Å, c = 4.9304 Å
α = 90.00°, β = 90.00°, γ = 90.00°
Atoms (fractional coordinates):
Cr 0.0372 0.2500 0.2500
Cr 0.4628 0.7500 0.2500
Cr 0.5372 0.2500 0.7500
Cr 0.9628 0.7500 0.7500
Mo 0.2500 0.0000 0.1270
Mo 0.2500 0.5000 0.3730
Mo 0.7500 0.0000 0.8730
Mo 0.7500 0.5000 0.6270
Ir 0.0449 0.7500 0.2500
Ir 0.1453 0.0096 0.6251
Ir 0.1453 0.4904 0.8749
Ir 0.3547 0.5096 0.8749
Ir 0.3547 0.9904 0.6251
Ir 0.4551 0.2500 0.2500
Ir 0.5449 0.7500 0.7500
Ir 0.6453 0.0096 0.3749
Ir 0.6453 0.4904 0.1251
Ir 0.8547 0.5096 0.1251
Ir 0.8547 0.9904 0.3749
Ir 0.9551 0.2500 0.7500


Simulated XRD peak list of Co2PdRhN for Cu Kα, 1.54184 Å, from a GGA-PBE-relaxed structure.

Most intense lines, 2θ from 5° to 70°, in order of falling intensity:
Position (°2θ)	Rel. int.
40.03	100
47.35	35
67.32	23
44.92	21
69.21	11
32.99	9
22.02	6
56.85	4
52.81	3

Crystal structure
a = 3.8395 Å, b = 3.8395 Å, c = 4.0358 Å
α = 90.00°, β = 90.00°, γ = 90.00°
Atoms (fractional coordinates):
Co 0.0000 0.5000 0.0000
Co 0.5000 0.0000 0.0000
Pd 0.0000 0.0000 0.5000
Rh 0.5000 0.5000 0.5000
N 0.5000 0.5000 0.0000


Simulated XRD peak list of Nd2Th4Ge3H2 for Cu Kα, 1.54184 Å, from a GGA-PBE-relaxed structure.

Most intense lines, 2θ from 5° to 70°, in order of falling intensity:
Position (°2θ)	Rel. int.
34.84	100
27.74	68
38.17	57
66.86	39
7.27	30
30.58	27
21.93	21
55.09	20
52.87	20
48.89	17

Crystal structure
a = 12.6076 Å, b = 12.6076 Å, c = 12.6076 Å
α = 158.44°, β = 158.44°, γ = 30.67°
Atoms (fractional coordinates):
Nd 0.2031 0.2031 0.0000
Nd 0.7969 0.7969 0.0000
Th 0.0807 0.5807 0.5000
Th 0.4193 0.9193 0.5000
Th 0.5807 0.0807 0.5000
Th 0.9193 0.4193 0.5000
Ge 0.3294 0.3294 0.0000
Ge 0.5000 0.5000 0.0000
Ge 0.6706 0.6706 0.0000
H 0.1028 0.1028 0.0000
H 0.8972 0.8972 0.0000


Question: Number 4 is which compound?
Answer: YHo6Th2